Computed X-ray powder pattern of Na2CoH4C4O8 for λ = 1.5418 Å (Cu Kα), from a cell relaxed with PBE+U.

Crystal structure
Cell: 8.779 8.779 6.661 Å, 104.09 104.09 59.95°
Element x y z (fractional)
1 Na 0.011 0.194 0.183
2 Na 0.194 0.011 0.683
3 Na 0.806 0.989 0.317
4 Na 0.989 0.806 0.817
5 Co 0.000 0.500 0.000
6 Co 0.500 0.000 0.500
7 H 0.286 0.581 0.378
8 H 0.316 0.404 0.579
9 H 0.404 0.316 0.079
10 H 0.419 0.714 0.122
11 H 0.581 0.286 0.878
12 H 0.596 0.684 0.921
13 H 0.684 0.596 0.421
14 H 0.714 0.419 0.622
15 C 0.147 0.692 0.361
16 C 0.255 0.369 0.676
17 C 0.308 0.853 0.139
18 C 0.369 0.255 0.176
19 C 0.631 0.745 0.824
20 C 0.692 0.147 0.861
21 C 0.745 0.631 0.324
22 C 0.853 0.308 0.639
23 O 0.057 0.700 0.178
24 O 0.092 0.801 0.520
25 O 0.145 0.496 0.786
26 O 0.199 0.908 0.980
27 O 0.206 0.303 0.168
28 O 0.300 0.943 0.322
29 O 0.303 0.206 0.668
30 O 0.496 0.145 0.286
31 O 0.504 0.855 0.714
32 O 0.697 0.794 0.332
33 O 0.700 0.057 0.678
34 O 0.794 0.697 0.832
35 O 0.801 0.092 0.020
36 O 0.855 0.504 0.214
37 O 0.908 0.199 0.480
38 O 0.943 0.300 0.822

The 8 most intense peaks (10 to 90 degrees two-theta), sorted by position:
two_theta  intensity
11.8  71
12.1  100
16.9  70
19.5  47
22.1  30
27.9  55
31.6  34
33.5  30